# Zn3Ga3Ag2
Theoretical powder XRD pattern, copper Kα. Input: a cell relaxed with GGA-PBE.

Top 8 peaks for 15° ≤ 2θ ≤ 90°, in order of falling intensity:
d_spacing	I/Imax
2.164	100.0
2.126	95.5
2.717	79.6
2.369	69.8
1.786	44.9
1.325	23.8
1.316	18.7
2.314	16.4

Atomic structure:
a b c (Å): 11.891 4.738 5.436
angles (deg): 90.00 115.56 90.00
Positions (direct):
Zn1 0.000 0.000 0.000
Zn2 0.122 0.000 0.596
Zn3 0.378 0.500 0.404
Zn4 0.500 0.500 0.000
Zn5 0.622 0.500 0.596
Zn6 0.878 0.000 0.404
Ga1 0.000 0.500 0.500
Ga2 0.124 0.500 0.165
Ga3 0.376 0.000 0.835
Ga4 0.500 0.000 0.500
Ga5 0.624 0.000 0.165
Ga6 0.876 0.500 0.835
Ag1 0.249 0.000 0.193
Ag2 0.251 0.500 0.807
Ag3 0.749 0.500 0.193
Ag4 0.751 0.000 0.807

=====

# Ac3AgB2N6
Theoretical powder XRD pattern, copper Kα. Input: a cell relaxed with GGA-PBE.

Top 8 peaks for 15° ≤ 2θ ≤ 90°, in order of falling intensity:
d_spacing	I/Imax
3.959	100.0
2.778	99.6
2.821	99.0
1.979	44.1
1.620	38.3
2.297	38.2
1.781	26.4
1.760	25.7

Atomic structure:
a b c (Å): 5.641 5.641 6.754
angles (deg): 90.00 90.00 120.00
Positions (direct):
Ac1 0.000 0.000 0.000
Ac2 0.333 0.667 0.676
Ac3 0.667 0.333 0.324
Ag1 0.000 0.000 0.500
B1 0.333 0.667 0.268
B2 0.667 0.333 0.732
N1 0.183 0.367 0.271
N2 0.183 0.817 0.271
N3 0.367 0.183 0.729
N4 0.633 0.817 0.271
N5 0.817 0.183 0.729
N6 0.817 0.633 0.729

=====

# BaSi2Rh2
Theoretical powder XRD pattern, copper Kα. Input: a cell relaxed with GGA-PBE.

Top 8 peaks for 15° ≤ 2θ ≤ 90°, in order of falling intensity:
d_spacing	I/Imax
2.879	100.0
3.116	59.3
3.161	52.1
2.744	43.0
2.410	42.1
2.473	36.3
2.897	34.2
1.609	18.8

Atomic structure:
a b c (Å): 7.971 6.763 7.738
angles (deg): 90.00 91.32 90.00
Positions (direct):
Ba1 0.237 0.117 0.497
Ba2 0.237 0.383 0.997
Ba3 0.763 0.617 0.003
Ba4 0.763 0.883 0.503
Si1 0.074 0.579 0.372
Si2 0.074 0.921 0.872
Si3 0.436 0.650 0.686
Si4 0.436 0.850 0.186
Si5 0.564 0.150 0.814
Si6 0.564 0.350 0.314
Si7 0.926 0.079 0.128
Si8 0.926 0.421 0.628
Rh1 0.138 0.668 0.671
Rh2 0.138 0.832 0.171
Rh3 0.378 0.604 0.386
Rh4 0.378 0.896 0.886
Rh5 0.622 0.104 0.114
Rh6 0.622 0.396 0.614
Rh7 0.862 0.168 0.829
Rh8 0.862 0.332 0.329

=====

# CaGa2Cu3Ru2O12
Theoretical powder XRD pattern, copper Kα. Input: a cell relaxed with GGA-PBE.

Top 8 peaks for 15° ≤ 2θ ≤ 90°, in order of falling intensity:
d_spacing	I/Imax
2.632	100.0
2.627	65.4
2.653	34.1
1.870	33.1
1.527	32.3
1.520	31.8
1.314	16.2
1.847	16.1

Atomic structure:
a b c (Å): 6.437 6.437 7.473
angles (deg): 125.21 125.21 70.05
Positions (direct):
Ca1 0.000 0.000 0.000
Ga1 0.000 0.500 0.500
Ga2 0.500 0.000 0.500
Cu1 0.000 0.000 0.500
Cu2 0.500 0.500 0.000
Cu3 0.500 0.500 0.500
Ru1 0.000 0.500 0.000
Ru2 0.500 0.000 0.000
O1 0.135 0.484 0.306
O2 0.172 0.172 0.478
O3 0.172 0.172 0.865
O4 0.305 0.690 0.169
O5 0.310 0.695 0.831
O6 0.484 0.135 0.306
O7 0.516 0.865 0.694
O8 0.690 0.305 0.169
O9 0.695 0.310 0.831
O10 0.828 0.828 0.135
O11 0.828 0.828 0.522
O12 0.865 0.516 0.694

=====

# TaTl5
Theoretical powder XRD pattern, copper Kα. Input: a cell relaxed with GGA-PBE.

Top 8 peaks for 15° ≤ 2θ ≤ 90°, in order of falling intensity:
d_spacing	I/Imax
2.518	100.0
2.800	54.9
2.577	40.1
2.886	27.2
1.476	19.7
2.250	17.6
1.922	17.2
3.590	13.7

Atomic structure:
a b c (Å): 5.154 3.202 20.010
angles (deg): 90.00 90.00 90.00
Positions (direct):
Ta1 0.000 0.000 0.000
Ta2 0.000 0.500 0.500
Tl1 0.000 0.000 0.347
Tl2 0.000 0.000 0.640
Tl3 0.000 0.500 0.140
Tl4 0.000 0.500 0.847
Tl5 0.500 0.000 0.231
Tl6 0.500 0.000 0.534
Tl7 0.500 0.000 0.896
Tl8 0.500 0.500 0.034
Tl9 0.500 0.500 0.396
Tl10 0.500 0.500 0.731

=====

# ThSi3Tc
Theoretical powder XRD pattern, copper Kα. Input: a cell relaxed with GGA-PBE.

Top 8 peaks for 15° ≤ 2θ ≤ 90°, in order of falling intensity:
d_spacing	I/Imax
4.172	100.0
2.413	96.9
2.366	88.2
4.035	76.9
2.550	61.8
3.352	59.3
3.011	57.6
2.531	56.0

Atomic structure:
a b c (Å): 6.022 5.630 5.786
angles (deg): 90.00 90.00 90.00
Positions (direct):
Th1 0.000 0.161 0.000
Th2 0.500 0.839 0.500
Si1 0.000 0.957 0.512
Si2 0.214 0.331 0.499
Si3 0.286 0.669 0.999
Si4 0.500 0.043 0.012
Si5 0.714 0.669 0.999
Si6 0.786 0.331 0.499
Tc1 0.000 0.620 0.280
Tc2 0.500 0.380 0.780

=====

# Pu2Te2Cl
Theoretical powder XRD pattern, copper Kα. Input: a cell relaxed with GGA-PBE.

Top 8 peaks for 15° ≤ 2θ ≤ 90°, in order of falling intensity:
d_spacing	I/Imax
2.306	100.0
3.130	93.6
4.080	93.6
3.836	90.7
2.484	69.7
2.173	65.1
3.019	64.1
1.918	54.2

Atomic structure:
a b c (Å): 7.932 7.932 7.932
angles (deg): 118.09 80.83 133.51
Positions (direct):
Pu1 0.106 0.238 0.344
Pu2 0.394 0.738 0.131
Pu3 0.606 0.262 0.869
Pu4 0.894 0.762 0.656
Te1 0.148 0.853 0.001
Te2 0.352 0.353 0.706
Te3 0.648 0.647 0.294
Te4 0.852 0.147 0.999
Cl1 0.250 0.750 0.500
Cl2 0.750 0.250 0.500

=====

# TbNd2Ho2Mg
Theoretical powder XRD pattern, copper Kα. Input: a cell relaxed with GGA-PBE.

Top 8 peaks for 15° ≤ 2θ ≤ 90°, in order of falling intensity:
d_spacing	I/Imax
2.828	100.0
2.799	75.6
2.775	48.0
2.816	36.2
2.182	27.8
1.467	27.0
1.977	26.1
3.432	24.4

Atomic structure:
a b c (Å): 6.864 9.859 5.549
angles (deg): 90.00 90.00 90.00
Positions (direct):
Tb1 0.000 0.000 0.000
Tb2 0.500 0.500 0.500
Nd1 0.245 0.328 0.000
Nd2 0.255 0.828 0.500
Nd3 0.745 0.172 0.500
Nd4 0.755 0.672 0.000
Ho1 0.246 0.659 0.000
Ho2 0.254 0.159 0.500
Ho3 0.746 0.841 0.500
Ho4 0.754 0.341 0.000
Mg1 0.000 0.500 0.500
Mg2 0.500 0.000 0.000